Structure and calculated powder XRD pattern of In3IBrCl (a crystal structure in Alexandria, relaxed with PBE; Cu Kα, 1.54184 Å).
Kinematic intensities with the Lorentz-polarization factor, no thermal factor.

Structure:
abc: 8.956 4.623 10.670
angles: 90.00 106.19 90.00
Element x y z (fractional)
In 0.016 0.250 0.204
In 0.262 0.750 0.473
In 0.467 0.250 0.114
In 0.533 0.750 0.886
In 0.738 0.250 0.527
In 0.984 0.750 0.796
I 0.242 0.250 0.722
I 0.758 0.750 0.278
Br 0.197 0.750 0.075
Br 0.803 0.250 0.925
Cl 0.422 0.250 0.366
Cl 0.578 0.750 0.634

Most intense lines, 10° ≤ 2θ ≤ 90°, sorted by position:
2theta  Rel. int.
25.23  17.0
26.09  42.8
27.89  100.0
29.77  45.2
30.72  23.7
31.38  32.6
31.90  44.6
34.78  21.4
36.90  16.7
38.97  43.3



Structure and calculated powder XRD pattern of RbGaSeO6 (a crystal structure in Alexandria, relaxed with PBE; Cu Kα, 1.54184 Å).
Kinematic intensities with the Lorentz-polarization factor, no thermal factor.

Structure:
abc: 5.090 5.090 6.420
angles: 90.00 90.00 120.00
Element x y z (fractional)
Rb 0.000 0.000 0.000
Ga 0.667 0.333 0.500
Se 0.333 0.667 0.500
O 0.029 0.396 0.664
O 0.029 0.633 0.336
O 0.367 0.396 0.336
O 0.367 0.971 0.664
O 0.604 0.633 0.664
O 0.604 0.971 0.336

Most intense lines, 10° ≤ 2θ ≤ 90°, sorted by position:
2theta  Rel. int.
13.79  33.3
24.50  100.0
27.79  14.8
35.26  24.6
43.41  15.1
45.48  44.0
47.21  12.3
57.11  17.1
60.28  9.8
69.20  12.0



Structure and calculated powder XRD pattern of Nd7Bi2Sb2 (a crystal structure in Alexandria, relaxed with PBE; Cu Kα, 1.54184 Å).
Kinematic intensities with the Lorentz-polarization factor, no thermal factor.

Structure:
abc: 7.554 7.554 6.995
angles: 90.00 90.00 99.65
Element x y z (fractional)
Nd 0.000 0.000 0.000
Nd 0.000 0.500 0.268
Nd 0.000 0.500 0.732
Nd 0.500 0.000 0.268
Nd 0.500 0.000 0.732
Nd 0.500 0.500 0.256
Nd 0.500 0.500 0.744
Bi 0.195 0.195 0.500
Bi 0.805 0.805 0.500
Sb 0.274 0.726 0.000
Sb 0.726 0.274 0.000

Most intense lines, 10° ≤ 2θ ≤ 90°, sorted by position:
2theta  Rel. int.
19.94  25.5
22.23  58.7
28.19  32.5
30.99  58.5
35.20  100.0
35.90  27.6
36.89  24.7
38.48  44.6
48.92  20.7
57.88  21.0